1.
Theoretical powder XRD pattern
Compound: Ac2ZnGe4Pt3
Radiation: λ = 1.5418 Å (Cu Kα)
Structure: DFT lattice parameters and positions (GGA-PBE)

Structure:
Unit cell a=4.4866 b=4.4866 c=10.2939 alpha=90.00 beta=90.00 gamma=90.00
Space group P-4m2 (No. 115)
Inequivalent atoms, fractional coordinates:
Ac (0.0000, 0.5000, 0.2493) x2
Zn (0.5000, 0.5000, 0.0000) x1
Ge (0.0000, 0.0000, 0.5000) x1
Ge (0.0000, 0.5000, 0.8686) x2
Ge (0.5000, 0.5000, 0.5000) x1
Pt (0.0000, 0.0000, 0.0000) x1
Pt (0.0000, 0.5000, 0.6209) x2

The 10 most intense peaks (15 to 90 degrees two-theta), by angle:
- 2θ 28.13, I 33, (1 1 0)
- 2θ 32.86, I 99, (1 0 3)
- 2θ 33.17, I 100, (1 1 2)
- 2θ 40.20, I 80, (2 0 0)
- 2θ 48.67, I 39, (1 0 5)
- 2θ 52.86, I 53, (2 1 3)
- 2θ 58.16, I 27, (2 2 0)
- 2θ 61.44, I 19, (1 1 6)
- 2θ 64.89, I 29, (2 1 5)
- 2θ 68.62, I 25, (3 1 2)



2.
Theoretical powder XRD pattern
Compound: CeMg6Ni6
Radiation: λ = 1.5418 Å (Cu Kα)
Structure: DFT lattice parameters and positions (GGA-PBE)

Structure:
Unit cell a=5.1202 b=8.8377 c=9.0773 alpha=90.00 beta=90.00 gamma=90.00
Space group Immm (No. 71)
Inequivalent atoms, fractional coordinates:
Ce (0.0000, 0.0000, 0.0000) x2
Mg (0.0000, 0.0000, 0.3485) x4
Mg (0.0000, 0.3366, 0.0000) x4
Mg (0.0000, 0.5000, 0.3058) x4
Ni (0.0000, 0.2721, 0.5000) x4
Ni (0.2500, 0.2500, 0.2500) x8

The 10 most intense peaks (15 to 90 degrees two-theta), by angle:
- 2θ 20.07, I 34, (0 2 0)
- 2θ 28.17, I 42, (0 2 2)
- 2θ 28.43, I 47, (1 2 1)
- 2θ 39.72, I 38, (0 0 4)
- 2θ 40.19, I 55, (1 2 3)
- 2θ 40.48, I 100, (2 0 2)
- 2θ 40.73, I 29, (2 2 0)
- 2θ 40.84, I 40, (0 4 0)
- 2θ 45.57, I 35, (2 2 2)
- 2θ 58.85, I 34, (2 4 2)